(1)
This entry pairs a crystal structure of Hf2GaBiPd2 with its calculated PXRD pattern. Radiation: CuKα. Structure: a DFT-relaxed cell (PBE, OQMD).

Peak list (12 most intense, 2θ = 5–70°, low angle first)
- 2θ 15.6, intensity 8
- 2θ 24.4, intensity 28
- 2θ 25.4, intensity 8
- 2θ 28.1, intensity 31
- 2θ 28.3, intensity 15
- 2θ 40.2, intensity 51
- 2θ 40.3, intensity 100
- 2θ 47.6, intensity 9
- 2θ 49.9, intensity 13
- 2θ 58.2, intensity 17
- 2θ 58.5, intensity 8
- 2θ 65.9, intensity 12

Cell lengths 7.738, 7.738, 7.738 Å; angles 131.61, 131.61, 70.84 degrees
Atoms (fractional coordinates):
Hf1 0.243 0.243 0.000
Hf2 0.507 0.007 0.500
Hf3 0.757 0.757 0.000
Hf4 0.993 0.493 0.500
Ga1 0.000 0.000 0.000
Ga2 0.750 0.250 0.500
Bi1 0.250 0.750 0.500
Bi2 0.500 0.500 0.000
Pd1 0.112 0.625 0.987
Pd2 0.375 0.362 0.487
Pd3 0.638 0.125 0.013
Pd4 0.875 0.888 0.513



(2)
This entry pairs a crystal structure of CdSiB4 with its calculated PXRD pattern. Radiation: CuKα. Structure: a DFT-relaxed cell (PBE, OQMD).

Peak list (12 most intense, 2θ = 5–70°, low angle first)
- 2θ 20.5, intensity 91
- 2θ 24.5, intensity 49
- 2θ 31.5, intensity 34
- 2θ 33.1, intensity 31
- 2θ 33.4, intensity 61
- 2θ 40.8, intensity 17
- 2θ 41.6, intensity 51
- 2θ 41.9, intensity 100
- 2θ 46.4, intensity 22
- 2θ 50.2, intensity 17
- 2θ 59.4, intensity 30
- 2θ 61.6, intensity 20

Cell lengths 4.787, 4.787, 4.787 Å; angles 142.39, 111.22, 81.13 degrees
Atoms (fractional coordinates):
Cd1 0.000 0.000 0.000
Si1 0.500 0.500 0.000
B1 0.091 0.757 0.334
B2 0.423 0.757 0.666
B3 0.577 0.243 0.334
B4 0.909 0.243 0.666



(3)
This entry pairs a crystal structure of Ta2W11 with its calculated PXRD pattern. Radiation: CuKα. Structure: a DFT-relaxed cell (PBE, OQMD).

Peak list (12 most intense, 2θ = 5–70°, low angle first)
- 2θ 34.5, intensity 44
- 2θ 37.4, intensity 42
- 2θ 38.0, intensity 26
- 2θ 39.6, intensity 100
- 2θ 40.2, intensity 100
- 2θ 42.1, intensity 20
- 2θ 43.3, intensity 50
- 2θ 46.1, intensity 27
- 2θ 63.8, intensity 17
- 2θ 65.3, intensity 23
- 2θ 65.7, intensity 27
- 2θ 67.1, intensity 15

Cell lengths 9.946, 9.946, 9.946 Å; angles 30.27, 30.27, 30.27 degrees
Atoms (fractional coordinates):
Ta1 0.167 0.167 0.167
Ta2 0.833 0.833 0.833
W1 0.000 0.000 0.000
W2 0.091 0.091 0.587
W3 0.091 0.587 0.091
W4 0.347 0.347 0.347
W5 0.413 0.909 0.909
W6 0.455 0.455 0.455
W7 0.545 0.545 0.545
W8 0.587 0.091 0.091
W9 0.653 0.653 0.653
W10 0.909 0.413 0.909
W11 0.909 0.909 0.413



(4)
This entry pairs a crystal structure of CoTcBiOs with its calculated PXRD pattern. Radiation: CuKα. Structure: a DFT-relaxed cell (PBE, OQMD).

Peak list (7 most intense, 2θ = 5–70°, low angle first)
- 2θ 24.1, intensity 20
- 2θ 27.9, intensity 1
- 2θ 39.8, intensity 100
- 2θ 47.1, intensity 11
- 2θ 57.6, intensity 17
- 2θ 63.3, intensity 5
- 2θ 65.1, intensity 1

Cell lengths 4.529, 4.529, 4.529 Å; angles 60.00, 60.00, 60.00 degrees
Atoms (fractional coordinates):
Co1 0.000 0.000 0.000
Tc1 0.250 0.250 0.250
Bi1 0.750 0.750 0.750
Os1 0.500 0.500 0.500



(5)
This entry pairs a crystal structure of Li3Pt2O6 with its calculated PXRD pattern. Radiation: CuKα. Structure: a DFT-relaxed cell (PBE, OQMD).

Peak list (12 most intense, 2θ = 5–70°, low angle first)
- 2θ 18.8, intensity 100
- 2θ 19.8, intensity 27
- 2θ 20.7, intensity 46
- 2θ 23.4, intensity 34
- 2θ 27.5, intensity 23
- 2θ 35.0, intensity 21
- 2θ 35.3, intensity 42
- 2θ 37.0, intensity 25
- 2θ 43.1, intensity 21
- 2θ 43.4, intensity 48
- 2θ 47.6, intensity 27
- 2θ 63.7, intensity 19

Cell lengths 5.178, 5.178, 5.026 Å; angles 100.12, 100.12, 119.53 degrees
Atoms (fractional coordinates):
Li1 0.000 0.000 0.000
Li2 0.351 0.649 0.000
Li3 0.649 0.351 0.000
Pt1 0.168 0.832 0.500
Pt2 0.832 0.168 0.500
O1 0.054 0.418 0.256
O2 0.222 0.222 0.747
O3 0.418 0.054 0.256
O4 0.582 0.946 0.744
O5 0.778 0.778 0.253
O6 0.946 0.582 0.744



(6)
This entry pairs a crystal structure of Dy2HoAl3CuNi2 with its calculated PXRD pattern. Radiation: CuKα. Structure: a DFT-relaxed cell (PBE, OQMD).

Peak list (12 most intense, 2θ = 5–70°, low angle first)
- 2θ 22.5, intensity 29
- 2θ 25.7, intensity 34
- 2θ 29.7, intensity 36
- 2θ 34.4, intensity 93
- 2θ 37.6, intensity 100
- 2θ 39.7, intensity 30
- 2θ 45.3, intensity 16
- 2θ 45.9, intensity 23
- 2θ 46.1, intensity 17
- 2θ 55.1, intensity 25
- 2θ 60.3, intensity 35
- 2θ 62.3, intensity 16

Cell lengths 3.954, 6.940, 6.940 Å; angles 120.02, 90.00, 90.00 degrees
Atoms (fractional coordinates):
Dy1 0.000 0.209 0.791
Dy2 0.000 0.791 0.209
Ho1 0.000 0.628 0.628
Al1 0.500 0.210 0.449
Al2 0.500 0.449 0.210
Al3 0.500 0.969 0.969
Cu1 0.000 0.210 0.210
Ni1 0.500 0.543 0.875
Ni2 0.500 0.875 0.543



(7)
This entry pairs a crystal structure of Gd2Dy2CCl5 with its calculated PXRD pattern. Radiation: CuKα. Structure: a DFT-relaxed cell (PBE, OQMD).

Peak list (12 most intense, 2θ = 5–70°, low angle first)
- 2θ 10.6, intensity 46
- 2θ 11.6, intensity 100
- 2θ 28.7, intensity 36
- 2θ 32.3, intensity 40
- 2θ 32.4, intensity 28
- 2θ 33.0, intensity 94
- 2θ 36.0, intensity 30
- 2θ 36.9, intensity 17
- 2θ 46.8, intensity 25
- 2θ 46.9, intensity 24
- 2θ 48.5, intensity 17
- 2θ 55.8, intensity 17

Cell lengths 8.739, 8.739, 7.853 Å; angles 102.72, 102.72, 24.83 degrees
Atoms (fractional coordinates):
Gd1 0.002 0.002 0.288
Gd2 0.998 0.998 0.712
Dy1 0.357 0.357 0.421
Dy2 0.643 0.643 0.579
C1 0.500 0.500 0.500
Cl1 0.164 0.164 0.834
Cl2 0.173 0.173 0.344
Cl3 0.500 0.500 0.000
Cl4 0.827 0.827 0.656
Cl5 0.836 0.836 0.166



(8)
This entry pairs a crystal structure of YHoBN2 with its calculated PXRD pattern. Radiation: CuKα. Structure: a DFT-relaxed cell (PBE, OQMD).

Peak list (12 most intense, 2θ = 5–70°, low angle first)
- 2θ 16.3, intensity 30
- 2θ 27.0, intensity 77
- 2θ 32.9, intensity 34
- 2θ 35.8, intensity 100
- 2θ 36.7, intensity 77
- 2θ 40.4, intensity 13
- 2θ 50.1, intensity 30
- 2θ 52.9, intensity 26
- 2θ 60.4, intensity 18
- 2θ 63.8, intensity 22
- 2θ 65.5, intensity 27
- 2θ 65.8, intensity 16

Cell lengths 3.463, 3.463, 5.964 Å; angles 106.79, 106.79, 89.99 degrees
Atoms (fractional coordinates):
Y1 0.000 0.000 0.000
Ho1 0.299 0.299 0.592
B1 0.648 0.648 0.294
N1 0.512 0.512 0.025
N2 0.785 0.785 0.564



(9)
This entry pairs a crystal structure of SmGd2Ge4Au4 with its calculated PXRD pattern. Radiation: CuKα. Structure: a DFT-relaxed cell (PBE, OQMD).

Peak list (12 most intense, 2θ = 5–70°, low angle first)
- 2θ 12.0, intensity 18
- 2θ 27.3, intensity 22
- 2θ 33.0, intensity 100
- 2θ 34.2, intensity 61
- 2θ 36.7, intensity 26
- 2θ 37.3, intensity 44
- 2θ 41.1, intensity 40
- 2θ 42.3, intensity 36
- 2θ 45.0, intensity 23
- 2θ 54.9, intensity 13
- 2θ 56.3, intensity 21
- 2θ 60.5, intensity 39

Cell lengths 8.455, 8.455, 8.455 Å; angles 149.91, 130.19, 59.30 degrees
Atoms (fractional coordinates):
Sm1 0.000 0.000 0.000
Gd1 0.373 0.873 0.500
Gd2 0.627 0.127 0.500
Ge1 0.217 0.217 0.000
Ge2 0.318 0.500 0.818
Ge3 0.682 0.500 0.182
Ge4 0.783 0.783 0.000
Au1 0.034 0.333 0.701
Au2 0.367 0.667 0.701
Au3 0.633 0.333 0.299
Au4 0.966 0.667 0.299



(10)
This entry pairs a crystal structure of Zn2GeTe4 with its calculated PXRD pattern. Radiation: CuKα. Structure: a DFT-relaxed cell (PBE, OQMD).

Peak list (12 most intense, 2θ = 5–70°, low angle first)
- 2θ 13.1, intensity 8
- 2θ 21.5, intensity 7
- 2θ 25.2, intensity 24
- 2θ 26.4, intensity 63
- 2θ 30.5, intensity 88
- 2θ 40.0, intensity 20
- 2θ 43.7, intensity 100
- 2θ 51.8, intensity 27
- 2θ 54.3, intensity 22
- 2θ 60.7, intensity 6
- 2θ 63.5, intensity 15
- 2θ 69.5, intensity 5

Cell lengths 8.283, 8.283, 11.710 Å; angles 90.00, 90.00, 90.00 degrees
Atoms (fractional coordinates):
Zn1 0.000 0.251 0.000
Zn2 0.000 0.749 0.500
Zn3 0.248 0.248 0.375
Zn4 0.248 0.752 0.125
Zn5 0.251 0.000 0.750
Zn6 0.749 0.000 0.250
Zn7 0.752 0.248 0.625
Zn8 0.752 0.752 0.875
Ge1 0.250 0.500 0.750
Ge2 0.500 0.250 0.000
Ge3 0.500 0.750 0.500
Ge4 0.750 0.500 0.250
Te1 0.014 0.246 0.757
Te2 0.014 0.754 0.743
Te3 0.245 0.487 0.996
Te4 0.245 0.513 0.504
Te5 0.246 0.014 0.993
Te6 0.246 0.986 0.507
Te7 0.487 0.245 0.754
Te8 0.487 0.755 0.746
Te9 0.513 0.245 0.246
Te10 0.513 0.755 0.254
Te11 0.754 0.014 0.007
Te12 0.754 0.986 0.493
Te13 0.755 0.487 0.004
Te14 0.755 0.513 0.496
Te15 0.986 0.246 0.243
Te16 0.986 0.754 0.257



(11)
This entry pairs a crystal structure of LaSm2Ni2Ge4Pd2 with its calculated PXRD pattern. Radiation: CuKα. Structure: a DFT-relaxed cell (PBE, OQMD).

Peak list (12 most intense, 2θ = 5–70°, low angle first)
- 2θ 30.9, intensity 24
- 2θ 33.4, intensity 100
- 2θ 33.6, intensity 55
- 2θ 39.0, intensity 43
- 2θ 41.8, intensity 37
- 2θ 44.1, intensity 31
- 2θ 45.7, intensity 16
- 2θ 53.3, intensity 14
- 2θ 54.6, intensity 27
- 2θ 60.3, intensity 24
- 2θ 62.3, intensity 22
- 2θ 68.8, intensity 17

Cell lengths 12.643, 12.643, 12.643 Å; angles 161.29, 160.30, 27.30 degrees
Atoms (fractional coordinates):
La1 0.000 0.000 0.000
Sm1 0.347 0.847 0.500
Sm2 0.653 0.153 0.500
Ni1 0.250 0.250 0.000
Ni2 0.750 0.750 0.000
Ge1 0.203 0.703 0.500
Ge2 0.449 0.449 0.000
Ge3 0.551 0.551 0.000
Ge4 0.797 0.297 0.500
Pd1 0.101 0.601 0.500
Pd2 0.899 0.399 0.500



(12)
This entry pairs a crystal structure of InTe4PdAu3 with its calculated PXRD pattern. Radiation: CuKα. Structure: a DFT-relaxed cell (PBE, OQMD).

Peak list (12 most intense, 2θ = 5–70°, low angle first)
- 2θ 13.7, intensity 16
- 2θ 23.8, intensity 86
- 2θ 27.5, intensity 8
- 2θ 30.9, intensity 6
- 2θ 39.3, intensity 100
- 2θ 41.8, intensity 5
- 2θ 46.5, intensity 44
- 2θ 48.7, intensity 2
- 2θ 50.8, intensity 4
- 2θ 56.8, intensity 17
- 2θ 62.5, intensity 18
- 2θ 64.3, intensity 3

Cell lengths 6.478, 6.478, 6.478 Å; angles 90.00, 90.00, 90.00 degrees
Atoms (fractional coordinates):
In1 0.000 0.000 0.000
Te1 0.257 0.257 0.257
Te2 0.257 0.743 0.743
Te3 0.743 0.257 0.743
Te4 0.743 0.743 0.257
Pd1 0.500 0.500 0.500
Au1 0.000 0.500 0.500
Au2 0.500 0.000 0.500
Au3 0.500 0.500 0.000